1.
# Pd7O8
Theoretical X-ray diffraction stick pattern, Cu Kα. Input: a GGA-PBE-relaxed structure.
Intensities are scaled so that the largest is 100.

Main lines, in order of rising 2θ (2θ from 10° to 90°):
d 5.754, rel. 13.4; d 4.069, rel. 9.8; d 3.322, rel. 5.2; d 2.877, rel. 6.3; d 2.573, rel. 100.0; d 2.349, rel. 41.1; d 1.661, rel. 18.5; d 1.596, rel. 24.5; d 1.538, rel. 22.0; d 1.439, rel. 14.8; d 1.256, rel. 20.0; d 1.227, rel. 4.8

Cell: 5.754 5.754 5.754 Å, 90.00 90.00 90.00°
Positions (direct):
Pd 0.000 0.000 0.000
Pd 0.000 0.254 0.500
Pd 0.000 0.746 0.500
Pd 0.254 0.500 0.000
Pd 0.500 0.000 0.254
Pd 0.500 0.000 0.746
Pd 0.746 0.500 0.000
O 0.235 0.235 0.235
O 0.235 0.235 0.765
O 0.235 0.765 0.235
O 0.235 0.765 0.765
O 0.765 0.235 0.235
O 0.765 0.235 0.765
O 0.765 0.765 0.235
O 0.765 0.765 0.765

2.
# CaHo2Cu6
Theoretical X-ray diffraction stick pattern, Cu Kα. Input: a GGA-PBE-relaxed structure.
Intensities are scaled so that the largest is 100.

Main lines, in order of rising 2θ (2θ from 10° to 90°):
d 6.337, rel. 19.6; d 3.659, rel. 9.6; d 3.141, rel. 7.0; d 2.572, rel. 100.0; d 2.112, rel. 51.8; d 1.997, rel. 4.4; d 1.808, rel. 10.5; d 1.632, rel. 24.3; d 1.374, rel. 24.3; d 1.292, rel. 21.6; d 1.220, rel. 8.1; d 1.145, rel. 7.4

Cell: 7.318 7.318 3.617 Å, 90.00 90.00 120.00°
Positions (direct):
Ca 0.000 0.000 0.000
Ho 0.333 0.667 0.000
Ho 0.667 0.333 0.000
Cu 0.000 0.335 0.500
Cu 0.000 0.665 0.500
Cu 0.335 0.000 0.500
Cu 0.335 0.335 0.500
Cu 0.665 0.000 0.500
Cu 0.665 0.665 0.500